(1)
This entry pairs a crystal structure of HgGeN2 with its calculated PXRD pattern. Radiation: CuKα. Structure: a crystal structure in Alexandria, relaxed with GGA-PBE.
Neutral-atom scattering factors, no anomalous dispersion.

Structural model:
Lattice parameters (Å, degrees): 5.021 5.021 8.872 90.00 90.00 90.00
Positions (direct):
1 Hg 0.000 0.000 0.000
2 Hg 0.000 0.500 0.250
3 Hg 0.500 0.000 0.750
4 Hg 0.500 0.500 0.500
5 Ge 0.000 0.000 0.500
6 Ge 0.000 0.500 0.750
7 Ge 0.500 0.000 0.250
8 Ge 0.500 0.500 0.000
9 N 0.172 0.250 0.625
10 N 0.250 0.672 0.875
11 N 0.250 0.828 0.375
12 N 0.328 0.250 0.125
13 N 0.672 0.750 0.125
14 N 0.750 0.172 0.375
15 N 0.750 0.328 0.875
16 N 0.828 0.750 0.625

Largest 6 diffraction maxima, sorted by position, 10 to 80 degrees two-theta:
| 2θ/deg | d (Å) | I (rel.) |
| --- | --- | --- |
| 20.32 | 4.370 | 25.3 |
| 32.29 | 2.772 | 100.0 |
| 35.76 | 2.511 | 32.3 |
| 51.47 | 1.775 | 14.8 |
| 55.26 | 1.662 | 24.6 |
| 62.08 | 1.495 | 30.9 |

***

(2)
This entry pairs a crystal structure of Na3Be2O4 with its calculated PXRD pattern. Radiation: CuKα. Structure: a crystal structure in Alexandria, relaxed with GGA-PBE.
Neutral-atom scattering factors, no anomalous dispersion.

Structural model:
Lattice parameters (Å, degrees): 6.259 6.259 5.043 92.83 92.83 73.81
Positions (direct):
1 Na 0.099 0.901 0.750
2 Na 0.246 0.526 0.451
3 Na 0.474 0.754 0.049
4 Na 0.526 0.246 0.951
5 Na 0.754 0.474 0.549
6 Na 0.901 0.099 0.250
7 Be 0.095 0.333 0.933
8 Be 0.333 0.095 0.433
9 Be 0.667 0.905 0.567
10 Be 0.905 0.667 0.067
11 O 0.132 0.233 0.624
12 O 0.174 0.566 0.984
13 O 0.233 0.132 0.124
14 O 0.434 0.826 0.516
15 O 0.566 0.174 0.484
16 O 0.767 0.868 0.876
17 O 0.826 0.434 0.016
18 O 0.868 0.767 0.376

Largest 6 diffraction maxima, sorted by position, 10 to 80 degrees two-theta:
| 2θ/deg | d (Å) | I (rel.) |
| --- | --- | --- |
| 35.36 | 2.538 | 100.0 |
| 36.98 | 2.431 | 63.8 |
| 41.15 | 2.194 | 62.5 |
| 47.06 | 1.931 | 89.6 |
| 48.29 | 1.885 | 66.3 |
| 51.91 | 1.761 | 75.3 |